Entry 1:
This entry pairs a crystal structure of La2Al3Ge4 with its calculated powder diffractogram. Radiation: copper Kα. Structure: the PBE geometry in the Materials Project.
Lines closer than 0.1° are merged.

Top 8 peaks for 2θ from 10° to 80°, low angle first:
2theta, Rel. int.
19.05, 29
31.81, 49
33.32, 62
34.60, 100
35.37, 75
36.75, 73
36.99, 27
37.54, 30

Atomic structure:
```
La2Al3Ge4
1.0
3.0745 -7.6442 0.0000
3.0745 7.6442 0.0000
0.0000 0.0000 8.0697
La Al Ge
4 6 8
direct
0.1140 0.8860 0.9170
0.3860 0.6140 0.4170
0.6140 0.3860 0.5830
0.8860 0.1140 0.0830
0.0000 0.0000 0.5000
0.0344 0.4656 0.7500
0.4656 0.0344 0.2500
0.5000 0.5000 0.0000
0.5344 0.9656 0.7500
0.9656 0.5344 0.2500
0.1869 0.8131 0.5519
0.2012 0.2988 0.7500
0.2988 0.2012 0.2500
0.3131 0.6869 0.0519
0.6869 0.3131 0.9481
0.7012 0.7988 0.7500
0.7988 0.7012 0.2500
0.8131 0.1869 0.4481
```


Entry 2:
This entry pairs a crystal structure of La2Al2Ge with its calculated powder diffractogram. Radiation: copper Kα. Structure: the PBE geometry in the Materials Project.
Lines closer than 0.1° are merged.

Top 8 peaks for 2θ from 10° to 80°, low angle first:
2theta, Rel. int.
26.25, 27
27.10, 31
27.66, 23
30.72, 100
32.79, 36
36.87, 22
37.32, 22
39.20, 29

Atomic structure:
```
La2Al2Ge
1.0
2.0670 -13.5824 0.0000
2.0670 13.5824 0.0000
0.0000 0.0000 4.5959
La Al Ge
4 4 2
direct
0.0755 0.9245 0.7500
0.2964 0.7036 0.2500
0.7036 0.2964 0.7500
0.9245 0.0755 0.2500
0.3814 0.6186 0.7500
0.4764 0.5236 0.7500
0.5236 0.4764 0.2500
0.6186 0.3814 0.2500
0.1741 0.8259 0.2500
0.8259 0.1741 0.7500
```


Which formula does entry 1 have?
La2Al3Ge4


What did the first record say?
This entry pairs a crystal structure of La2Al3Ge4 with its calculated powder diffractogram. Radiation: copper Kα. Structure: the PBE geometry in the Materials Project.
Lines closer than 0.1° are merged.

Top 8 peaks for 2θ from 10° to 80°, low angle first:
2theta, Rel. int.
19.05, 29
31.81, 49
33.32, 62
34.60, 100
35.37, 75
36.75, 73
36.99, 27
37.54, 30

Atomic structure:
```
La2Al3Ge4
1.0
3.0745 -7.6442 0.0000
3.0745 7.6442 0.0000
0.0000 0.0000 8.0697
La Al Ge
4 6 8
direct
0.1140 0.8860 0.9170
0.3860 0.6140 0.4170
0.6140 0.3860 0.5830
0.8860 0.1140 0.0830
0.0000 0.0000 0.5000
0.0344 0.4656 0.7500
0.4656 0.0344 0.2500
0.5000 0.5000 0.0000
0.5344 0.9656 0.7500
0.9656 0.5344 0.2500
0.1869 0.8131 0.5519
0.2012 0.2988 0.7500
0.2988 0.2012 0.2500
0.3131 0.6869 0.0519
0.6869 0.3131 0.9481
0.7012 0.7988 0.7500
0.7988 0.7012 0.2500
0.8131 0.1869 0.4481
```